[1]
Calculated X-ray diffraction stick pattern
Compound: Li2TeSe3
Radiation: Cu Kα (weighted mean of Kα1 and Kα2)
Structure: a structure optimized by DFT (GGA-PBE)

Structure:
```
24
Lattice="5.634 0.000 0.000 0.000 12.098 0.000 -0.355 0.000 8.290" Properties=species:S:1:pos:R:3 pbc="T T T"
Li 1.271 2.739 1.211
Li 1.094 3.310 5.356
Li 1.436 7.097 1.109
Li 1.258 11.051 5.254
Li 4.021 1.048 3.036
Li 3.843 5.002 7.181
Li 4.185 8.788 2.934
Li 4.008 9.359 7.079
Te 0.971 7.099 5.694
Te 1.148 11.048 1.549
Te 4.131 1.050 6.741
Te 4.308 4.999 2.596
Se 1.030 1.173 7.217
Se 1.207 4.876 3.072
Se 1.248 0.930 3.129
Se 1.071 5.119 7.274
Se 1.219 9.063 7.336
Se 1.397 9.084 3.191
Se 3.882 3.014 5.099
Se 4.060 3.035 0.954
Se 4.208 6.980 1.016
Se 4.031 11.168 5.161
Se 4.072 7.222 5.217
Se 4.249 10.925 1.073
```

The 10 most intense peaks (5° ≤ 2θ ≤ 70°), low angle first:
h k l  two_theta  I (rel.)
0 2 1  18.15  38
1 1 -1  20.07  30
1 0 -2  26.13  22
1 0 2  27.22  27
0 3 2  30.94  100
2 0 0  31.79  54
2 3 -2  44.24  27
0 6 0  44.96  22
2 3 2  45.66  40
2 6 0  56.11  19

***

[2]
Calculated X-ray diffraction stick pattern
Compound: Hg4I7
Radiation: Cu Kα (weighted mean of Kα1 and Kα2)
Structure: a structure optimized by DFT (GGA-PBE)

Structure:
```
11
Lattice="9.513 0.000 0.000 0.000 9.513 0.000 0.000 0.000 6.584" Properties=species:S:1:pos:R:3 pbc="T T T"
Hg 0.000 2.589 1.514
Hg 0.000 6.923 1.514
Hg 2.589 0.000 5.070
Hg 6.923 0.000 5.070
I 0.000 0.000 3.292
I 0.000 4.756 3.416
I 2.437 2.437 0.000
I 2.437 7.076 0.000
I 4.756 0.000 3.168
I 7.076 2.437 0.000
I 7.076 7.076 0.000
```

The 10 most intense peaks (5° ≤ 2θ ≤ 70°), low angle first:
h k l  two_theta  I (rel.)
1 0 0  9.30  54
1 0 1  16.37  30
2 0 1  23.07  100
2 1 1  24.92  18
2 1 2  34.45  17
3 2 1  36.70  17
4 0 0  37.83  26
2 2 2  38.26  51
4 2 1  44.78  32
6 2 2  68.60  16

***

[3]
Calculated X-ray diffraction stick pattern
Compound: Cs2Se
Radiation: Cu Kα (weighted mean of Kα1 and Kα2)
Structure: a structure optimized by DFT (GGA-PBE)

Structure:
```
12
Lattice="8.507 0.000 0.000 0.000 8.507 0.000 0.000 0.000 8.507" Properties=species:S:1:pos:R:3 pbc="T T T"
Cs 2.127 2.127 2.127
Cs 2.127 2.127 6.380
Cs 2.127 6.380 2.127
Cs 2.127 6.380 6.380
Cs 6.380 2.127 2.127
Cs 6.380 2.127 6.380
Cs 6.380 6.380 2.127
Cs 6.380 6.380 6.380
Se 0.000 0.000 0.000
Se 0.000 4.253 4.253
Se 4.253 0.000 4.253
Se 4.253 4.253 0.000
```

The 10 most intense peaks (5° ≤ 2θ ≤ 70°), low angle first:
h k l  two_theta  I (rel.)
1 1 1  18.06  13
2 0 0  20.89  34
2 2 0  29.70  100
2 2 2  36.59  11
4 0 0  42.51  18
4 2 0  47.82  15
4 2 2  52.72  39
4 4 0  61.68  12
6 0 0  65.88  7
6 2 0  69.94  17

***

[4]
Calculated X-ray diffraction stick pattern
Compound: Rb3Na
Radiation: Cu Kα (weighted mean of Kα1 and Kα2)
Structure: a structure optimized by DFT (GGA-PBE)

Structure:
```
8
Lattice="9.475 0.000 0.000 -4.737 8.205 0.000 0.000 0.000 7.533" Properties=species:S:1:pos:R:3 pbc="T T T"
Rb 0.000 2.838 1.883
Rb -2.280 6.787 1.883
Rb 2.457 1.419 5.649
Rb 2.280 6.787 1.883
Rb 7.017 1.419 5.649
Rb 4.737 5.368 5.649
Na 0.000 5.470 5.649
Na 4.737 2.735 1.883
```

The 10 most intense peaks (5° ≤ 2θ ≤ 70°), low angle first:
h k l  two_theta  I (rel.)
1 0 1  15.97  17
2 0 0  21.66  23
0 0 2  23.62  25
2 0 1  24.71  100
2 0 2  32.27  17
2 2 0  37.99  21
2 0 3  42.20  23
2 2 2  45.22  25
4 0 1  45.85  18
4 2 1  61.00  14

***

[5]
Calculated X-ray diffraction stick pattern
Compound: U2BiTe2
Radiation: Cu Kα (weighted mean of Kα1 and Kα2)
Structure: a structure optimized by DFT (GGA-PBE)

Structure:
```
5
Lattice="3.087 0.000 0.000 0.000 3.087 0.000 0.000 0.000 17.462" Properties=species:S:1:pos:R:3 pbc="T T T"
U 0.000 0.000 3.244
U 0.000 0.000 14.217
Bi 0.000 0.000 0.000
Te 0.000 0.000 6.327
Te 0.000 0.000 11.135
```

The 10 most intense peaks (5° ≤ 2θ ≤ 70°), low angle first:
h k l  two_theta  I (rel.)
0 0 1  5.06  100
0 0 5  25.51  33
1 0 0  28.93  78
0 0 6  30.72  21
1 0 5  38.94  44
1 1 0  41.37  30
1 0 6  42.70  31
1 1 5  49.23  23
1 1 6  52.40  17
1 0 11  66.20  25